Starting from a DFT-relaxed cell (PBE+U, the Materials Project), the X-ray diffraction stick pattern of Li3TiV3O8 was computed for Cu Kα (λ = 1.5418 Å).

Principal peaks in the range 10 to 90 degrees two-theta, by angle:
- 2θ = 14.0°, I = 94
- 2θ = 15.0°, I = 72
- 2θ = 23.1°, I = 100
- 2θ = 28.2°, I = 74
- 2θ = 31.6°, I = 35
- 2θ = 42.9°, I = 61
- 2θ = 43.9°, I = 68
- 2θ = 44.4°, I = 71
- 2θ = 63.4°, I = 44
- 2θ = 64.2°, I = 36

Structure:
```
15
Lattice="6.1842 -2.0411 0.0000 6.1842 2.0411 0.0000 -1.9909 0.0000 6.3246" Properties=species:S:1:pos:R:3 pbc="T T T"
Li 0.0000 0.0000 0.0000
Li 0.1345 0.0000 4.0778
Li 10.3122 0.0000 1.7791
Ti 2.2113 0.0000 2.2355
V 2.1900 0.0000 6.0025
V 6.1288 0.0000 2.1227
V 6.1665 0.0000 5.9375
O 0.1293 0.0000 2.0490
O 0.1056 0.0000 6.1267
O 2.2000 0.0000 3.9761
O 4.0644 0.0000 1.7963
O 6.1697 0.0000 0.0643
O 6.0079 0.0000 4.0498
O 8.2471 0.0000 1.8530
O 8.2319 0.0000 6.1355
```